Entry 1:
Structure and simulated X-ray powder pattern of K6As8O19 (the PBE geometry in the Materials Project; copper Kα).

Largest 10 diffraction maxima, in order of rising 2θ, 5 to 70 degrees two-theta:
2θ 7.31, I 50; 2θ 8.58, I 100; 2θ 14.66, I 54; 2θ 16.56, I 38; 2θ 25.47, I 44; 2θ 26.05, I 86; 2θ 26.83, I 74; 2θ 28.36, I 62; 2θ 29.06, I 55; 2θ 33.19, I 78

Structural model:
```
K6As8O19
1.0
5.3969 0.0000 0.0000
-2.6932 10.7969 0.0000
-2.6547 -3.7967 12.0861
K As O
6 8 19
Direct
0.0000 0.0000 0.0000
0.0065 0.6368 0.3770
0.1364 0.4330 0.8377
0.4621 0.7913 0.1271
0.5757 0.2137 0.9468
0.6305 0.6370 0.6357
0.1224 0.9467 0.3017
0.2913 0.9004 0.6882
0.2937 0.3164 0.2738
0.4773 0.2957 0.6581
0.6586 0.8875 0.4358
0.6720 0.1419 0.2057
0.9145 0.0836 0.7526
0.9285 0.3312 0.5252
0.0185 0.8840 0.1603
0.0332 0.1982 0.8801
0.1087 0.7066 0.9003
0.1327 0.9813 0.7845
0.2097 0.7440 0.6920
0.2620 0.3993 0.6293
0.3358 0.8414 0.3284
0.3469 0.4912 0.2400
0.3606 0.4888 0.1389
0.4545 0.2490 0.1778
0.5550 0.0329 0.0768
0.5787 0.3572 0.8000
0.6099 0.7522 0.4794
0.6287 0.9763 0.7828
0.7656 0.4000 0.6289
0.8350 0.8406 0.3309
0.8658 0.6778 0.8954
0.9431 0.4359 0.4481
0.9671 0.2502 0.1793
```

Entry 2:
Structure and simulated X-ray powder pattern of K2ThAs2O8 (the PBE geometry in the Materials Project; copper Kα).

Largest 10 diffraction maxima, in order of rising 2θ, 5 to 70 degrees two-theta:
2θ 14.20, I 57; 2θ 14.67, I 70; 2θ 19.66, I 21; 2θ 26.04, I 22; 2θ 27.34, I 100; 2θ 27.61, I 42; 2θ 28.84, I 45; 2θ 30.89, I 38; 2θ 35.40, I 27; 2θ 48.46, I 21

Structural model:
```
K2ThAs2O8
1.0
7.9129 0.0000 0.0000
0.0000 11.5775 0.0000
-4.5073 0.0000 9.0331
K Th As O
8 4 8 32
Direct
0.1459 0.1257 0.0437
0.1459 0.3743 0.5437
0.3362 0.1197 0.4517
0.3362 0.3803 0.9517
0.6638 0.6197 0.0483
0.6638 0.8803 0.5483
0.8541 0.6257 0.4563
0.8541 0.8743 0.9563
0.2559 0.6368 0.2814
0.2559 0.8632 0.7814
0.7441 0.1368 0.2186
0.7441 0.3632 0.7186
0.0643 0.6386 0.8547
0.0643 0.8614 0.3547
0.4657 0.6319 0.6411
0.4657 0.8681 0.1411
0.5343 0.1319 0.8589
0.5343 0.3681 0.3589
0.9357 0.1386 0.6453
0.9357 0.3614 0.1453
0.0289 0.0142 0.7440
0.0289 0.4858 0.2440
0.0394 0.2393 0.2489
0.0394 0.2607 0.7489
0.0526 0.6411 0.0209
0.0526 0.8589 0.5209
0.2315 0.6054 0.5220
0.2315 0.8946 0.0220
0.2921 0.6575 0.8782
0.2921 0.8425 0.3782
0.4257 0.0200 0.7363
0.4257 0.4800 0.2363
0.4456 0.1392 0.9874
0.4456 0.3608 0.4874
0.4952 0.7388 0.2335
0.4952 0.7612 0.7335
0.5048 0.2388 0.2665
0.5048 0.2612 0.7665
0.5544 0.6392 0.5126
0.5544 0.8608 0.0126
0.5743 0.5200 0.7637
0.5743 0.9800 0.2637
0.7079 0.1575 0.6218
0.7079 0.3425 0.1218
0.7685 0.1054 0.9780
0.7685 0.3946 0.4780
0.9474 0.1411 0.4791
0.9474 0.3589 0.9791
0.9606 0.7393 0.2511
0.9606 0.7607 0.7511
0.9711 0.5142 0.7560
0.9711 0.9858 0.2560
```

Entry 3:
Structure and simulated X-ray powder pattern of KU3AsO15 (the PBE geometry in the Materials Project; copper Kα).

Largest 10 diffraction maxima, in order of rising 2θ, 5 to 70 degrees two-theta:
2θ 12.77, I 46; 2θ 14.39, I 90; 2θ 23.71, I 45; 2θ 24.76, I 18; 2θ 25.69, I 100; 2θ 30.06, I 22; 2θ 30.66, I 44; 2θ 34.05, I 25; 2θ 46.05, I 32; 2θ 53.20, I 19

Structural model:
```
KU3AsO15
1.0
4.2664 -5.9452 0.0000
4.2664 5.9452 0.0000
0.0000 0.0000 13.3858
K U As O
2 6 2 30
Direct
0.0000 0.0000 0.0000
0.0000 0.0000 0.5000
0.0000 0.5000 0.1395
0.0000 0.5000 0.8605
0.5000 0.0000 0.3605
0.5000 0.0000 0.6395
0.5000 0.5000 0.0000
0.5000 0.5000 0.5000
0.5000 0.5000 0.2500
0.5000 0.5000 0.7500
0.0000 0.0000 0.2500
0.0000 0.0000 0.7500
0.0000 0.5000 0.2801
0.0000 0.5000 0.7199
0.1000 0.7687 0.1338
0.1000 0.7687 0.8662
0.1610 0.4891 0.0000
0.2313 0.9000 0.3662
0.2313 0.9000 0.6338
0.2405 0.4212 0.5000
0.3195 0.4705 0.1636
0.3195 0.4705 0.8364
0.4212 0.2405 0.0000
0.4705 0.3195 0.3364
0.4705 0.3195 0.6636
0.4891 0.1610 0.5000
0.5000 0.0000 0.2199
0.5000 0.0000 0.7801
0.5109 0.8390 0.5000
0.5295 0.6805 0.3364
0.5295 0.6805 0.6636
0.5788 0.7595 0.0000
0.6805 0.5295 0.1636
0.6805 0.5295 0.8364
0.7595 0.5788 0.5000
0.7687 0.1000 0.3662
0.7687 0.1000 0.6338
0.8390 0.5109 0.0000
0.9000 0.2313 0.1338
0.9000 0.2313 0.8662
```

Entry 4:
Structure and simulated X-ray powder pattern of K4U3As2O16 (the PBE geometry in the Materials Project; copper Kα).

Largest 10 diffraction maxima, in order of rising 2θ, 5 to 70 degrees two-theta:
2θ 10.08, I 30; 2θ 12.74, I 100; 2θ 13.70, I 20; 2θ 16.27, I 25; 2θ 24.49, I 21; 2θ 25.04, I 28; 2θ 26.41, I 38; 2θ 28.35, I 63; 2θ 30.38, I 40; 2θ 46.21, I 17

Structural model:
```
K4U3As2O16
1.0
7.0272 0.0000 0.0000
0.0000 17.5504 0.0000
-1.0639 0.0000 7.1114
K U As O
8 6 4 32
Direct
0.0380 0.0515 0.2576
0.0380 0.4485 0.7576
0.1704 0.2015 0.7775
0.1704 0.2985 0.2775
0.8296 0.7015 0.7225
0.8296 0.7985 0.2225
0.9620 0.5515 0.2424
0.9620 0.9485 0.7424
0.4307 0.6023 0.9839
0.4307 0.8977 0.4839
0.5000 0.0000 0.0000
0.5000 0.5000 0.5000
0.5693 0.1023 0.5161
0.5693 0.3977 0.0161
0.2994 0.6813 0.4706
0.2994 0.8187 0.9706
0.7006 0.1813 0.0294
0.7006 0.3187 0.5294
0.0580 0.6882 0.4523
0.0580 0.8118 0.9523
0.1666 0.5845 0.9399
0.1666 0.9155 0.4399
0.2478 0.0332 0.9576
0.2478 0.4668 0.4576
0.3086 0.1263 0.4820
0.3086 0.3737 0.9820
0.3702 0.6210 0.3016
0.3702 0.8790 0.8016
0.4145 0.6263 0.6564
0.4145 0.8737 0.1564
0.4167 0.7334 0.9754
0.4167 0.7666 0.4754
0.4837 0.0022 0.3150
0.4837 0.4978 0.8150
0.5163 0.5022 0.1850
0.5163 0.9978 0.6850
0.5833 0.2334 0.5246
0.5833 0.2666 0.0246
0.5855 0.1263 0.8436
0.5855 0.3737 0.3436
0.6298 0.1210 0.1984
0.6298 0.3790 0.6984
0.6914 0.6263 0.0180
0.6914 0.8737 0.5180
0.7522 0.5332 0.5424
0.7522 0.9668 0.0424
0.8334 0.0845 0.5601
0.8334 0.4155 0.0601
0.9420 0.1882 0.0477
0.9420 0.3118 0.5477
```